Structure and calculated powder XRD pattern of NaLa6Cd5 (a cell relaxed with GGA-PBE; Cu Kα (λ = 1.5418 Å)).
Lines closer than 0.1° are merged.

The 10 most intense peaks (2θ = 15–90°), in order of rising 2θ:
| 2θ/deg | Rel. int. |
| --- | --- |
| 16.7 | 1 |
| 19.4 | 1 |
| 22.5 | 3 |
| 32.0 | 100 |
| 45.8 | 18 |
| 51.6 | 1 |
| 57.0 | 37 |
| 66.9 | 11 |
| 76.0 | 15 |
| 84.9 | 4 |

Structure:
Unit cell a=9.6957 b=9.6957 c=9.6957 alpha=146.45 beta=131.79 gamma=60.01
Fractional positions:
Na  0.0000  0.0000  0.0000
La  0.0853  0.8291  0.2562
La  0.2632  0.5000  0.7632
La  0.4271  0.1709  0.2562
La  0.5729  0.8291  0.7438
La  0.7368  0.5000  0.2368
La  0.9147  0.1709  0.7438
Cd  0.1591  0.6591  0.5000
Cd  0.3329  0.3329  0.0000
Cd  0.5000  0.0000  0.5000
Cd  0.6671  0.6671  0.0000
Cd  0.8409  0.3409  0.5000

=====

Structure and calculated powder XRD pattern of Nd3Y4Tm3 (a cell relaxed with GGA-PBE; Cu Kα (λ = 1.5418 Å)).
Lines closer than 0.1° are merged.

The 10 most intense peaks (2θ = 15–90°), in order of rising 2θ:
| 2θ/deg | Rel. int. |
| --- | --- |
| 26.6 | 11 |
| 26.8 | 12 |
| 27.6 | 12 |
| 29.9 | 39 |
| 30.0 | 39 |
| 30.7 | 53 |
| 32.2 | 100 |
| 49.3 | 15 |
| 58.7 | 20 |
| 58.8 | 12 |

Structure:
Unit cell a=3.6937 b=9.4437 c=9.4437 alpha=89.61 beta=90.00 gamma=90.00
Fractional positions:
Nd  0.0000  0.0000  0.0000
Nd  0.0000  0.4984  0.8456
Nd  0.0000  0.8456  0.4984
Y  0.5000  0.0505  0.3012
Y  0.5000  0.3012  0.0505
Y  0.5000  0.5447  0.5447
Y  0.5000  0.7992  0.7992
Tm  0.0000  0.3464  0.3464
Tm  0.5000  0.1753  0.6656
Tm  0.5000  0.6656  0.1753

=====

Structure and calculated powder XRD pattern of Ca2Zn3Cu12Ni (a cell relaxed with GGA-PBE; Cu Kα (λ = 1.5418 Å)).
Lines closer than 0.1° are merged.

The 10 most intense peaks (2θ = 15–90°), in order of rising 2θ:
| 2θ/deg | Rel. int. |
| --- | --- |
| 30.6 | 70 |
| 34.2 | 85 |
| 36.2 | 54 |
| 37.6 | 52 |
| 40.8 | 48 |
| 43.3 | 82 |
| 45.4 | 83 |
| 48.1 | 100 |
| 55.5 | 51 |
| 59.9 | 53 |

Structure:
Unit cell a=9.5918 b=9.5918 c=9.5918 alpha=37.58 beta=37.58 gamma=37.58
Fractional positions:
Ca  0.1523  0.1523  0.1523
Ca  0.8477  0.8477  0.8477
Zn  0.0000  0.5000  0.5000
Zn  0.5000  0.0000  0.5000
Zn  0.5000  0.5000  0.0000
Cu  0.0797  0.0797  0.6880
Cu  0.0797  0.6880  0.0797
Cu  0.1562  0.5646  0.5646
Cu  0.3120  0.9203  0.9203
Cu  0.4354  0.4354  0.8438
Cu  0.4354  0.8438  0.4354
Cu  0.5646  0.1562  0.5646
Cu  0.5646  0.5646  0.1562
Cu  0.6880  0.0797  0.0797
Cu  0.8438  0.4354  0.4354
Cu  0.9203  0.3120  0.9203
Cu  0.9203  0.9203  0.3120
Ni  0.5000  0.5000  0.5000